Entry 1:
Starting from a crystal structure in Alexandria, relaxed with GGA+U, the powder X-ray diffraction pattern of AcPaNiO6 was simulated for copper Kα.

Crystal structure
a b c (Å): 5.5836 5.5836 4.9178
angles (deg): 90.00 90.00 120.00
Space group P312 (No. 149)
Inequivalent atoms, fractional coordinates:
Ac (0.0000, 0.0000, 0.0000) (multiplicity 1)
Pa (0.6667, 0.3333, 0.5000) (multiplicity 1)
Ni (0.3333, 0.6667, 0.0000) (multiplicity 1)
O (0.0120, 0.3920, 0.2414) (multiplicity 6)

Main lines, most intense first (10° ≤ 2θ ≤ 90°):
- 25.84 deg, I 100.0
- 32.06 deg, I 41.0
- 49.39 deg, I 35.0
- 41.62 deg, I 29.2
- 53.49 deg, I 28.6
- 18.35 deg, I 14.8
- 57.15 deg, I 12.1
- 73.14 deg, I 11.5
- 59.55 deg, I 10.4
- 78.36 deg, I 9.6
- 69.76 deg, I 8.9
- 78.85 deg, I 8.3

Entry 2:
Starting from a crystal structure in Alexandria, relaxed with GGA+U, the powder X-ray diffraction pattern of Ac2NiPd2O6 was simulated for copper Kα.

Crystal structure
a b c (Å): 6.0121 6.0121 15.9403
angles (deg): 90.00 90.00 120.00
Space group R-3m (No. 166, hexagonal axes)
Inequivalent atoms, fractional coordinates:
Ac (0.0000, 0.0000, 0.2174) (multiplicity 6)
Ni (0.0000, 0.0000, 0.0000) (multiplicity 3)
Pd (0.0000, 0.0000, 0.4102) (multiplicity 6)
O (0.0494, 0.5247, 0.7568) (multiplicity 18)

Main lines, most intense first (10° ≤ 2θ ≤ 90°):
- 29.72 deg, I 100.0
- 32.94 deg, I 60.7
- 54.82 deg, I 33.8
- 44.95 deg, I 29.5
- 20.37 deg, I 21.6
- 52.74 deg, I 19.9
- 61.72 deg, I 15.9
- 60.72 deg, I 15.3
- 36.30 deg, I 13.8
- 71.76 deg, I 13.4
- 85.46 deg, I 10.9
- 76.95 deg, I 10.1

Entry 3:
Starting from a crystal structure in Alexandria, relaxed with GGA+U, the powder X-ray diffraction pattern of Ac2ZnNiO5 was simulated for copper Kα.

Crystal structure
a b c (Å): 7.1349 7.1349 5.8188
angles (deg): 90.00 90.00 90.00
Space group P4/mbm (No. 127)
Inequivalent atoms, fractional coordinates:
Ac (0.1779, 0.3221, 0.0000) (multiplicity 4)
Zn (0.0000, 0.5000, 0.5000) (multiplicity 2)
Ni (0.0000, 0.0000, 0.5000) (multiplicity 2)
O (0.0000, 0.0000, 0.0000) (multiplicity 2)
O (0.1340, 0.6340, 0.2604) (multiplicity 8)

Main lines, most intense first (10° ≤ 2θ ≤ 90°):
- 31.99 deg, I 100.0
- 29.37 deg, I 96.3
- 15.23 deg, I 71.9
- 42.03 deg, I 62.1
- 55.41 deg, I 53.1
- 27.96 deg, I 47.5
- 30.73 deg, I 38.8
- 53.79 deg, I 24.1
- 62.44 deg, I 23.9
- 35.59 deg, I 20.5
- 43.00 deg, I 19.8
- 73.31 deg, I 19.3

Entry 4:
Starting from a crystal structure in Alexandria, relaxed with GGA+U, the powder X-ray diffraction pattern of Ac4Zn3NiO12 was simulated for copper Kα.

Crystal structure
a b c (Å): 7.9473 7.9473 7.9473
angles (deg): 90.00 90.00 90.00
Space group Im-3m (No. 229)
Inequivalent atoms, fractional coordinates:
Ac (0.2500, 0.2500, 0.2500) (multiplicity 8)
Zn (0.0000, 0.0000, 0.5000) (multiplicity 6)
Ni (0.0000, 0.0000, 0.0000) (multiplicity 2)
O (0.0000, 0.0000, 0.2373) (multiplicity 12)
O (0.0000, 0.2500, 0.5000) (multiplicity 12)

Main lines, most intense first (10° ≤ 2θ ≤ 90°):
- 31.85 deg, I 100.0
- 56.75 deg, I 40.2
- 45.66 deg, I 28.1
- 22.37 deg, I 27.1
- 39.27 deg, I 20.1
- 75.69 deg, I 17.6
- 66.56 deg, I 17.4
- 51.42 deg, I 13.8
- 80.10 deg, I 7.3
- 71.19 deg, I 7.2
- 84.45 deg, I 6.0
- 88.77 deg, I 3.6

Number 4 is which compound?
Ac4Zn3NiO12